[1]
ScFe2Se: calculated powder X-ray diffraction pattern (a wavelength of 1.5418 Å), based on the GGA-PBE geometry in Alexandria.

Top 12 peaks for 15° ≤ 2θ ≤ 90°, by angle:
26.65 deg, d 3.345, I = 4, hkl 1 0 0; 30.96 deg, d 2.888, I = 5, hkl 1 0 1; 31.25 deg, d 2.862, I = 5, hkl 0 0 2; 38.04 deg, d 2.365, I = 72, hkl 1 1 0; 41.53 deg, d 2.175, I = 100, hkl 1 0 2; 50.03 deg, d 1.823, I = 5, hkl 1 1 2; 54.90 deg, d 1.673, I = 23, hkl 2 0 0; 65.20 deg, d 1.431, I = 4, hkl 0 0 4; 71.11 deg, d 1.326, I = 37, hkl 2 1 2; 71.74 deg, d 1.316, I = 4, hkl 1 0 4; 78.05 deg, d 1.224, I = 10, hkl 1 1 4; 81.36 deg, d 1.183, I = 7, hkl 2 2 0

Structure:
abc: 3.3450 3.3450 5.7237
angles: 90.00 90.00 90.00
Space group P4mm (No. 99)
One atom of each set of equivalent atoms:
Sc 0.0000 0.0000 0.0000 x1
Fe 0.0000 0.0000 0.5328 x1
Fe 0.5000 0.5000 0.7110 x1
Se 0.5000 0.5000 0.2402 x1


[2]
Ho4TlPbN: calculated powder X-ray diffraction pattern (a wavelength of 1.5418 Å), based on the GGA-PBE geometry in Alexandria.

Top 12 peaks for 15° ≤ 2θ ≤ 90°, by angle:
26.83 deg, d 3.323, I = 22, hkl 2 0 0; 29.08 deg, d 3.070, I = 60, hkl 2 2 0; 33.52 deg, d 2.674, I = 29, hkl 0 6 0; 35.07 deg, d 2.559, I = 100, hkl 2 4 0; 38.30 deg, d 2.350, I = 57, hkl 2 0 2; 51.79 deg, d 1.765, I = 34, hkl 2 6 2; 55.28 deg, d 1.662, I = 20, hkl 4 0 0; 63.68 deg, d 1.461, I = 13, hkl 4 2 2; 64.50 deg, d 1.445, I = 19, hkl 2 10 0; 66.22 deg, d 1.411, I = 16, hkl 4 6 0; 67.17 deg, d 1.394, I = 34, hkl 4 4 2; 90.00 deg, d 1.090, I = 16, hkl 4 10 2

Structure:
abc: 6.6468 16.0422 6.6466
angles: 90.00 90.00 90.00
Space group Cmcm (No. 63)
One atom of each set of equivalent atoms:
Ho 0.0000 0.0873 0.2500 x4
Ho 0.0000 0.4077 0.2500 x4
Ho 0.2500 0.2500 0.0000 x8
Tl 0.0000 0.1096 0.7500 x4
Pb 0.0000 0.3938 0.7500 x4
N 0.0000 0.2521 0.2500 x4


[3]
AlSb2S4: calculated powder X-ray diffraction pattern (a wavelength of 1.5418 Å), based on the GGA-PBE geometry in Alexandria.

Top 12 peaks for 15° ≤ 2θ ≤ 90°, by angle:
18.13 deg, d 4.893, I = 100, hkl 1 1 0; 24.09 deg, d 3.694, I = 31, hkl 0 0 2; 25.75 deg, d 3.460, I = 25, hkl 2 0 0; 30.32 deg, d 2.948, I = 85, hkl 1 1 2; 35.55 deg, d 2.525, I = 84, hkl 2 0 2; 36.74 deg, d 2.446, I = 54, hkl 2 2 0; 41.26 deg, d 2.188, I = 35, hkl 3 1 0; 44.41 deg, d 2.040, I = 28, hkl 2 2 2; 48.34 deg, d 1.883, I = 36, hkl 3 1 2; 52.96 deg, d 1.729, I = 30, hkl 4 0 0; 56.47 deg, d 1.630, I = 31, hkl 2 0 4; 65.39 deg, d 1.427, I = 25, hkl 4 2 2

Structure:
abc: 6.9195 6.9195 7.3884
angles: 90.00 90.00 90.00
Space group I-42m (No. 121)
One atom of each set of equivalent atoms:
Al 0.0000 0.0000 0.0000 x2
Sb 0.0000 0.5000 0.0000 x4
S 0.2045 0.2045 0.1509 x8


[4]
TbHo2Zn9: calculated powder X-ray diffraction pattern (a wavelength of 1.5418 Å), based on the GGA-PBE geometry in Alexandria.

Top 12 peaks for 15° ≤ 2θ ≤ 90°, by angle:
30.92 deg, d 2.892, I = 41, hkl 1 0 7; 32.98 deg, d 2.716, I = 52, hkl 1 1 0; 33.82 deg, d 2.651, I = 39, hkl 0 1 8; 38.43 deg, d 2.342, I = 40, hkl 0 2 1; 39.29 deg, d 2.293, I = 100, hkl 1 1 6; 42.26 deg, d 2.139, I = 29, hkl 0 0 12; 43.28 deg, d 2.090, I = 13, hkl 0 1 11; 57.62 deg, d 1.600, I = 15, hkl 2 1 7; 59.43 deg, d 1.555, I = 14, hkl 1 2 8; 63.15 deg, d 1.472, I = 24, hkl 3 0 6; 64.39 deg, d 1.447, I = 24, hkl 2 0 14; 69.18 deg, d 1.358, I = 24, hkl 2 2 0

Structure:
abc: 5.4318 5.4318 25.6673
angles: 90.00 90.00 120.00
Space group R-3m (No. 166, hexagonal axes)
One atom of each set of equivalent atoms:
Tb 0.0000 0.0000 0.0000 x3
Ho 0.0000 0.0000 0.1399 x6
Zn 0.0000 0.0000 0.3349 x6
Zn 0.0000 0.0000 0.5000 x3
Zn 0.0060 0.5030 0.9174 x18